Calculated PXRD pattern of Li3Co2Si2O8 for Cu Ka, from a GGA+U-relaxed structure.
Neutral-atom scattering factors, no anomalous dispersion.

Atomic structure:
Lattice parameters (Å, degrees): 5.200 11.065 6.087 90.00 90.60 90.00
Fractional coordinates of all 30 atoms:
Li (0.042, 0.000, 0.244)
Li (0.057, 0.000, 0.762)
Li (0.448, 0.337, 0.757)
Li (0.552, 0.837, 0.243)
Li (0.943, 0.500, 0.238)
Li (0.958, 0.500, 0.756)
Co (0.075, 0.248, 0.025)
Co (0.442, 0.092, 0.506)
Co (0.558, 0.592, 0.494)
Co (0.925, 0.748, 0.975)
Si (0.058, 0.755, 0.487)
Si (0.433, 0.592, 0.997)
Si (0.567, 0.092, 0.003)
Si (0.942, 0.255, 0.513)
O (0.003, 0.833, 0.706)
O (0.048, 0.330, 0.730)
O (0.075, 0.117, 0.498)
O (0.116, 0.588, 0.998)
O (0.371, 0.733, 0.459)
O (0.450, 0.227, 0.009)
O (0.457, 0.020, 0.781)
O (0.468, 0.015, 0.227)
O (0.532, 0.515, 0.773)
O (0.543, 0.520, 0.219)
O (0.550, 0.727, 0.991)
O (0.629, 0.233, 0.541)
O (0.884, 0.088, 0.002)
O (0.925, 0.617, 0.502)
O (0.952, 0.830, 0.270)
O (0.997, 0.333, 0.294)

Principal peaks in the range 10° ≤ 2θ ≤ 90°, by angle:
h k l  d/Å  2θ/deg  intensity
0 2 0  5.532  16.0  71
1 2 0  3.789  23.5  100
0 0 2  3.043  29.3  34
0 2 2  2.666  33.6  52
2 0 0  2.600  34.5  38
0 6 2  1.577  58.5  26